Entry 1:
Structure and calculated XRD peak list of MgHgS2 (the PBE geometry in Alexandria; λ = 1.5418 Å (Cu Kα)).

Top 10 peaks for 2θ = 15–90°, in order of rising 2θ:
d (Å)	Position (°2θ)	I_rel
4.895	18.12	100
4.151	21.41	47
3.585	24.83	44
3.371	26.44	52
3.166	28.19	87
3.147	28.36	36
2.617	34.27	33
2.508	35.81	35
2.060	43.96	40
1.904	47.76	45

Cell and atoms:
Cell lengths 4.1505, 7.1174, 6.7426 Å; angles 90.00, 90.02, 90.00 degrees
Positions (direct):
Mg 0.0000 0.1697 0.0000
Mg 0.0000 0.8303 0.5000
Hg 0.5015 0.3265 0.5042
Hg 0.5015 0.6735 0.0042
S 0.0010 0.1527 0.3656
S 0.0010 0.8473 0.8656
S 0.5005 0.3256 0.8888
S 0.5005 0.6744 0.3888

Entry 2:
Structure and calculated XRD peak list of MgHgS2 (the PBE geometry in Alexandria; λ = 1.5418 Å (Cu Kα)).

Top 10 peaks for 2θ = 15–90°, in order of rising 2θ:
d (Å)	Position (°2θ)	I_rel
5.409	16.39	46
5.216	17.00	58
3.576	24.90	59
3.370	26.45	43
3.160	28.25	100
2.860	31.27	25
2.452	36.64	28
2.068	43.79	33
1.902	47.81	53
1.762	51.88	27

Cell and atoms:
Cell lengths 7.1715, 8.2375, 6.7401 Å; angles 90.00, 90.00, 90.00 degrees
Positions (direct):
Mg 0.0847 0.1250 0.0000
Mg 0.4153 0.6250 0.5000
Mg 0.5847 0.3750 0.0000
Mg 0.9153 0.8750 0.5000
Hg 0.0897 0.6237 0.9983
Hg 0.4103 0.1237 0.4983
Hg 0.5897 0.8763 0.9983
Hg 0.9103 0.3763 0.4983
S 0.0724 0.1169 0.6342
S 0.0890 0.6338 0.6132
S 0.4110 0.1338 0.1132
S 0.4276 0.6169 0.1342
S 0.5724 0.3831 0.6342
S 0.5890 0.8662 0.6132
S 0.9110 0.3662 0.1132
S 0.9276 0.8831 0.1342

Entry 3:
Structure and calculated XRD peak list of MgHgS2 (the PBE geometry in Alexandria; λ = 1.5418 Å (Cu Kα)).

Top 10 peaks for 2θ = 15–90°, in order of rising 2θ:
d (Å)	Position (°2θ)	I_rel
4.713	18.83	33
3.630	24.52	38
3.379	26.37	27
3.026	29.52	100
2.891	30.94	38
2.703	33.15	40
2.672	33.54	30
2.621	34.21	43
1.986	45.68	37
1.806	50.54	32

Cell and atoms:
Cell lengths 7.0102, 3.9477, 12.7314 Å; angles 90.00, 90.00, 90.00 degrees
Positions (direct):
Mg 0.1093 0.2500 0.1122
Mg 0.3907 0.7500 0.6122
Mg 0.6093 0.2500 0.3878
Mg 0.8907 0.7500 0.8878
Hg 0.0895 0.7500 0.3817
Hg 0.4105 0.2500 0.8817
Hg 0.5895 0.7500 0.1183
Hg 0.9105 0.2500 0.6183
S 0.0663 0.7500 0.7160
S 0.2074 0.7500 0.9969
S 0.2926 0.2500 0.4969
S 0.4337 0.2500 0.2160
S 0.5663 0.7500 0.7840
S 0.7074 0.7500 0.5031
S 0.7926 0.2500 0.0031
S 0.9337 0.2500 0.2840

Entry 4:
Structure and calculated XRD peak list of MgHg4S5 (the PBE geometry in Alexandria; λ = 1.5418 Å (Cu Kα)).

Top 10 peaks for 2θ = 15–90°, in order of rising 2θ:
d (Å)	Position (°2θ)	I_rel
3.641	24.45	49
3.419	26.06	34
3.214	27.76	100
2.492	36.04	25
2.102	43.03	41
1.932	47.04	37
1.791	51.00	33
1.759	51.98	19
1.349	69.70	16
1.178	81.74	16

Cell and atoms:
Cell lengths 4.2044, 4.2044, 34.1894 Å; angles 90.00, 90.00, 120.00 degrees
Positions (direct):
Mg 0.0000 0.0000 0.0000
Mg 0.0000 0.0000 0.1936
Hg 0.0000 0.0000 0.3912
Hg 0.0000 0.0000 0.5954
Hg 0.0000 0.0000 0.7997
Hg 0.3333 0.6667 0.0948
Hg 0.3333 0.6667 0.2887
Hg 0.3333 0.6667 0.4932
Hg 0.3333 0.6667 0.6975
Hg 0.3333 0.6667 0.9016
S 0.0000 0.0000 0.1211
S 0.0000 0.0000 0.3151
S 0.0000 0.0000 0.5193
S 0.0000 0.0000 0.7236
S 0.0000 0.0000 0.9274
S 0.3333 0.6667 0.0189
S 0.3333 0.6667 0.2127
S 0.3333 0.6667 0.4172
S 0.3333 0.6667 0.6215
S 0.3333 0.6667 0.8255

Entry 5:
Structure and calculated XRD peak list of Mg2HgSb2 (the PBE geometry in Alexandria; λ = 1.5418 Å (Cu Kα)).

Top 10 peaks for 2θ = 15–90°, in order of rising 2θ:
d (Å)	Position (°2θ)	I_rel
3.663	24.30	87
3.039	29.39	41
2.973	30.06	100
2.590	34.63	57
2.008	45.16	27
1.953	46.50	61
1.832	49.78	20
1.638	56.15	18
1.587	58.13	25
1.336	70.49	18

Cell and atoms:
Cell lengths 6.5627, 6.5627, 6.5627 Å; angles 133.51, 133.51, 67.86 degrees
Positions (direct):
Mg 0.2500 0.7500 0.5000
Mg 0.7500 0.2500 0.5000
Hg 0.0000 0.0000 0.0000
Sb 0.3708 0.3708 0.0000
Sb 0.6292 0.6292 0.0000

Entry 6:
Structure and calculated XRD peak list of Mg6Hg5Sb (the PBE geometry in Alexandria; λ = 1.5418 Å (Cu Kα)).

Top 10 peaks for 2θ = 15–90°, in order of rising 2θ:
d (Å)	Position (°2θ)	I_rel
3.533	25.21	70
3.518	25.31	35
2.543	35.29	27
2.495	35.99	100
2.447	36.73	24
2.064	43.87	17
2.011	45.08	16
1.766	51.76	18
1.579	58.44	22
1.461	63.72	10

Cell and atoms:
Cell lengths 8.5231, 8.5231, 5.0861 Å; angles 107.13, 107.13, 48.95 degrees
Positions (direct):
Mg 0.0747 0.5874 0.3286
Mg 0.2408 0.7592 0.0000
Mg 0.4126 0.9253 0.6714
Mg 0.5874 0.0747 0.3286
Mg 0.7592 0.2408 0.0000
Mg 0.9253 0.4126 0.6714
Hg 0.0000 0.0000 0.5000
Hg 0.1683 0.1683 0.1688
Hg 0.3344 0.3344 0.8312
Hg 0.6656 0.6656 0.1688
Hg 0.8317 0.8317 0.8312
Sb 0.5000 0.5000 0.5000

Entry 7:
Structure and calculated XRD peak list of MgHg2Sb (the PBE geometry in Alexandria; λ = 1.5418 Å (Cu Kα)).

Top 10 peaks for 2θ = 15–90°, in order of rising 2θ:
d (Å)	Position (°2θ)	I_rel
5.708	15.52	47
2.932	30.48	100
2.915	30.68	22
2.854	31.34	39
2.354	38.24	49
2.228	40.48	24
1.947	46.65	15
1.926	47.18	15
1.833	49.74	20
1.757	52.07	19

Cell and atoms:
Cell lengths 4.1177, 4.4570, 6.0364 Å; angles 90.00, 108.97, 90.00 degrees
Positions (direct):
Mg 0.0000 0.0000 0.0000
Hg 0.0321 0.0000 0.5050
Hg 0.5687 0.5000 0.5785
Sb 0.5244 0.5000 0.0638

Entry 8:
Structure and calculated XRD peak list of Mg2HgSb (the PBE geometry in Alexandria; λ = 1.5418 Å (Cu Kα)).

Top 10 peaks for 2θ = 15–90°, in order of rising 2θ:
d (Å)	Position (°2θ)	I_rel
5.237	16.93	19
3.912	22.73	83
3.373	26.42	83
2.926	30.55	100
2.618	34.24	37
2.296	39.24	94
2.205	40.93	27
2.109	42.89	23
1.921	47.33	25
1.788	51.08	28

Cell and atoms:
Cell lengths 5.6455, 5.6455, 4.4096 Å; angles 90.11, 90.11, 43.86 degrees
Positions (direct):
Mg 0.0000 0.0000 0.0000
Mg 0.2376 0.2376 0.5029
Hg 0.5046 0.5046 0.5013
Sb 0.7187 0.7187 0.0031